Structure and simulated X-ray powder pattern of Ca7Mg6Si14 (the PBE geometry in the Materials Project; copper Kα).
Kinematic intensities with the Lorentz-polarization factor, no thermal factor.

Main lines, in order of falling intensity (10° ≤ 2θ ≤ 80°):
(2 2 1), 34.97°, I = 100.0
(2 1 1), 29.91°, I = 51.2
(5 0 0), 40.26°, I = 40.8
(4 3 1), 54.37°, I = 25.3
(0 0 2), 42.91°, I = 23.7
(5 0 2), 60.29°, I = 23.0
(2 0 1), 26.46°, I = 15.5
(6 0 0), 48.78°, I = 13.9
(7 2 1), 72.64°, I = 13.8
(6 0 2), 66.96°, I = 10.5

Atomic structure:
```
data_Ca7Mg6Si14
_chemical_formula_sum 'Ca7 Mg6 Si14'
_cell_length_a 12.9344
_cell_length_b 12.9344
_cell_length_c 4.2153
_cell_angle_alpha 90.00
_cell_angle_beta 90.00
_cell_angle_gamma 120.00
_space_group_name_H-M_alt 'P 6/m m m'
_space_group_IT_number 191
_space_group_name_Hall '-P 6 2'
loop_
_atom_site_label
_atom_site_type_symbol
_atom_site_fract_x
_atom_site_fract_y
_atom_site_fract_z
Ca1 Ca 0.0000 0.0000 0.0000
Ca2 Ca 0.1866 0.3732 0.0000
Mg1 Mg 0.1726 0.5863 0.5000
Si1 Si 0.0000 0.1810 0.5000
Si2 Si 0.0000 0.3568 0.5000
Si3 Si 0.3333 0.6667 0.0000
```